# BaCoClO2
Computed X-ray powder pattern, Cu Kα, 1.54184 Å. Input: a structure optimized by DFT (PBE+U).

The 10 most intense peaks (10° ≤ 2θ ≤ 80°), by angle:
Position (°2θ)  Rel. int.
20.9  88.4
23.4  30.8
24.8  100.0
29.9  82.0
30.8  43.5
33.1  33.5
36.3  32.4
37.5  39.2
41.8  40.7
45.8  44.7

```
data_BaCoClO2
_cell_length_a 7.4307
_cell_length_b 7.4307
_cell_length_c 5.4183
_cell_angle_alpha 90.00
_cell_angle_beta 90.00
_cell_angle_gamma 134.04
_symmetry_space_group_name_H-M 'P 1'
_symmetry_Int_Tables_number 1
_symmetry_space_group_name_Hall 'P 1'
loop_
_atom_site_label
_atom_site_type_symbol
_atom_site_fract_x
_atom_site_fract_y
_atom_site_fract_z
Ba1 Ba 0.1282 0.8718 0.7500
Ba2 Ba 0.8718 0.1282 0.2500
Co1 Co 0.4911 0.5089 0.7500
Co2 Co 0.5089 0.4911 0.2500
Cl1 Cl 0.2542 0.7458 0.2500
Cl2 Cl 0.7458 0.2542 0.7500
O1 O 0.2849 0.2849 0.0000
O2 O 0.2849 0.2849 0.5000
O3 O 0.7151 0.7151 0.0000
O4 O 0.7151 0.7151 0.5000
```